(1)
# Ga3HgBr3
Theoretical X-ray powder pattern, Cu Ka. Input: DFT lattice parameters and positions (GGA-PBE).
No peak broadening, texture or thermal motion is included.

Largest 6 diffraction maxima, in order of rising 2θ, 5° ≤ 2θ ≤ 70°:
two_theta, intensity
8.63, 100.0
14.19, 37.3
29.74, 78.9
29.86, 78.3
30.09, 76.8
42.55, 89.5

Crystal structure
Cell lengths 7.3543, 7.3610, 11.0552 Å; angles 70.72, 71.28, 60.08 degrees
Fractional positions:
Ga  0.0552  0.3920  0.3194
Ga  0.2741  0.9387  0.6803
Ga  0.3864  0.7316  0.3197
Ga  0.6136  0.2684  0.6803
Ga  0.7259  0.0613  0.3197
Ga  0.9448  0.6080  0.6806
Hg  0.3327  0.3334  0.5000
Hg  0.6673  0.6666  0.5000
Br  0.0985  0.7560  0.1803
Br  0.2540  0.5368  0.8200
Br  0.4535  0.1081  0.1802
Br  0.5465  0.8919  0.8198
Br  0.7460  0.4632  0.1800
Br  0.9015  0.2440  0.8197



(2)
# Ga2Hg4SbBr5
Theoretical X-ray powder pattern, Cu Ka. Input: DFT lattice parameters and positions (GGA-PBE).
No peak broadening, texture or thermal motion is included.

Largest 6 diffraction maxima, in order of rising 2θ, 5° ≤ 2θ ≤ 70°:
two_theta, intensity
17.82, 36.5
22.61, 100.0
26.21, 69.9
37.60, 39.5
40.65, 26.7
48.37, 30.5

Crystal structure
Cell lengths 8.0640, 7.9313, 7.9313 Å; angles 127.08, 90.00, 90.00 degrees
Fractional positions:
Ga  0.0000  0.1936  0.8064
Ga  0.0000  0.8064  0.1936
Hg  0.1697  0.4690  0.4690
Hg  0.5000  0.1475  0.8930
Hg  0.5000  0.8930  0.1475
Hg  0.8303  0.4690  0.4690
Sb  0.5000  0.3116  0.3116
Br  0.0000  0.0187  0.0187
Br  0.2743  0.5577  0.9206
Br  0.2743  0.9206  0.5577
Br  0.7257  0.5577  0.9206
Br  0.7257  0.9206  0.5577



(3)
# GaSnHgBr4
Theoretical X-ray powder pattern, Cu Ka. Input: DFT lattice parameters and positions (GGA-PBE).
No peak broadening, texture or thermal motion is included.

Largest 6 diffraction maxima, in order of rising 2θ, 5° ≤ 2θ ≤ 70°:
two_theta, intensity
8.43, 100.0
18.28, 92.3
25.47, 40.6
25.63, 52.3
29.25, 74.9
42.53, 37.1

Crystal structure
Cell lengths 7.8528, 7.8528, 11.4840 Å; angles 108.64, 108.64, 76.33 degrees
Fractional positions:
Ga  0.1388  0.1388  0.2782
Ga  0.8612  0.8612  0.7218
Sn  0.3070  0.3070  0.7820
Sn  0.6930  0.6930  0.2180
Hg  0.4126  0.4126  0.1034
Hg  0.5874  0.5874  0.8966
Br  0.0144  0.6083  0.8308
Br  0.0832  0.0832  0.7973
Br  0.2503  0.2503  0.5185
Br  0.3917  0.9856  0.1692
Br  0.6083  0.0144  0.8308
Br  0.7497  0.7497  0.4815
Br  0.9168  0.9168  0.2027
Br  0.9856  0.3917  0.1692



(4)
# GaHgTeBr
Theoretical X-ray powder pattern, Cu Ka. Input: DFT lattice parameters and positions (GGA-PBE).
No peak broadening, texture or thermal motion is included.

Largest 6 diffraction maxima, in order of rising 2θ, 5° ≤ 2θ ≤ 70°:
two_theta, intensity
9.83, 26.6
19.74, 24.2
26.76, 100.0
39.16, 47.9
43.71, 36.3
47.74, 27.9

Crystal structure
Cell lengths 4.1418, 4.1418, 8.9941 Å; angles 90.00, 90.00, 120.00 degrees
Fractional positions:
Ga  0.0000  0.0000  0.0000
Hg  0.0000  0.0000  0.2819
Te  0.3333  0.6667  0.8608
Br  0.6667  0.3333  0.4639